Diffraction record for TbH8Ir2Pb. The powder diffraction line list is theoretical, not measured: it uses a structure optimized by DFT (PBE) and λ = 1.5418 Å (Cu Kα).

The 8 most intense peaks (10 to 90 degrees two-theta), sorted by position:
| Position (°2θ) | I/Imax | index |
| --- | --- | --- |
| 28.20 | 100.0 | 1 0 4 |
| 38.15 | 45.6 | 0 1 8 |
| 42.37 | 34.3 | 1 1 0 |
| 51.68 | 19.5 | 0 2 4 |
| 58.32 | 13.3 | 2 0 8 |
| 62.99 | 21.4 | 1 1 12 |
| 68.97 | 16.5 | 2 1 4 |
| 74.70 | 13.1 | 1 2 8 |

Lattice parameters (Å, degrees): 4.2661 4.2661 24.5254 90.00 90.00 120.00
Space group R-3m (No. 166, hexagonal axes)
Inequivalent atoms, fractional coordinates:
Tb: 0.0000 0.0000 0.0000 (multiplicity 3)
H: 0.0000 0.0000 0.1836 (multiplicity 6)
H: 0.0360 0.5180 0.0452 (multiplicity 18)
Ir: 0.0000 0.0000 0.2521 (multiplicity 6)
Pb: 0.0000 0.0000 0.5000 (multiplicity 3)